Entry 1:
This entry pairs a crystal structure of KRbPb4 with its theoretical powder diffractogram. Radiation: copper Kα. Structure: a DFT-relaxed cell (GGA-PBE, Alexandria).
Peak positions follow from Bragg's law for the DFT cell and can differ from measured ones.

Main lines, sorted by position (2θ from 10° to 90°):
- 2θ 13.8, I = 41, hkl 0 1 1
- 2θ 18.6, I = 42, hkl 1 0 1
- 2θ 26.7, I = 54, hkl 1 1 2
- 2θ 27.9, I = 72, hkl 1 2 1
- 2θ 32.3, I = 80, hkl 1 0 3
- 2θ 32.5, I = 100, hkl 2 0 0
- 2θ 38.6, I = 34, hkl 1 2 3
- 2θ 40.1, I = 47, hkl 1 3 2
- 2θ 46.7, I = 39, hkl 2 3 1
- 2θ 59.5, I = 29, hkl 1 5 2

Atomic structure:
Lattice parameters (Å, degrees): 5.510 8.598 9.632 90.00 90.00 90.00
Space group Imm2 (No. 44)
Inequivalent atoms, fractional coordinates:
K 0.000 0.000 0.000
Rb 0.000 0.500 0.124
Pb 0.000 0.185 0.401
Pb 0.000 0.316 0.719

Entry 2:
This entry pairs a crystal structure of La6CoOs2Cl3 with its theoretical powder diffractogram. Radiation: copper Kα. Structure: a DFT-relaxed cell (GGA-PBE, Alexandria).
Peak positions follow from Bragg's law for the DFT cell and can differ from measured ones.

Main lines, sorted by position (2θ from 10° to 90°):
- 2θ 11.6, I = 52, hkl 0 0 1
- 2θ 29.5, I = 100, hkl 1 3 1
- 2θ 37.3, I = 23, hkl 2 0 -3
- 2θ 40.4, I = 32, hkl 2 0 2
- 2θ 44.0, I = 36, hkl 0 6 0
- 2θ 50.8, I = 14, hkl 2 0 3
- 2θ 53.8, I = 18, hkl 4 0 0
- 2θ 61.2, I = 9, hkl 2 6 2
- 2θ 71.9, I = 15, hkl 4 6 0
- 2θ 77.9, I = 10, hkl 3 3 4

Atomic structure:
Lattice parameters (Å, degrees): 7.135 12.360 7.994 90.00 107.35 90.00
Space group C2/m (No. 12)
Inequivalent atoms, fractional coordinates:
La 0.233 0.166 0.203
La 0.237 0.500 0.204
Co 0.000 0.000 0.000
Os 0.000 0.333 0.000
Cl 0.000 0.168 0.500
Cl 0.000 0.500 0.500

Entry 3:
This entry pairs a crystal structure of ZnCu2Se with its theoretical powder diffractogram. Radiation: copper Kα. Structure: a DFT-relaxed cell (GGA-PBE, Alexandria).
Peak positions follow from Bragg's law for the DFT cell and can differ from measured ones.

Main lines, sorted by position (2θ from 10° to 90°):
- 2θ 32.0, I = 28, hkl 1 0 0
- 2θ 35.2, I = 20, hkl 1 0 1
- 2θ 38.3, I = 100, hkl 0 1 2
- 2θ 40.7, I = 21, hkl 1 1 0
- 2θ 43.4, I = 76, hkl 1 1 1
- 2θ 50.2, I = 27, hkl 0 2 0
- 2θ 50.7, I = 20, hkl 1 1 2
- 2θ 55.5, I = 32, hkl 1 0 3
- 2θ 78.1, I = 22, hkl 1 2 3
- 2θ 79.8, I = 21, hkl 2 1 2

Atomic structure:
Lattice parameters (Å, degrees): 2.797 3.634 6.167 90.00 90.00 90.00
Space group Pmm2 (No. 25)
Inequivalent atoms, fractional coordinates:
Zn 0.000 0.000 0.000
Cu 0.000 0.000 0.600
Cu 0.500 0.500 0.790
Se 0.000 0.500 0.317

Entry 4:
This entry pairs a crystal structure of TaZn5Pd4 with its theoretical powder diffractogram. Radiation: copper Kα. Structure: a DFT-relaxed cell (GGA-PBE, Alexandria).
Peak positions follow from Bragg's law for the DFT cell and can differ from measured ones.

Main lines, sorted by position (2θ from 10° to 90°):
- 2θ 26.6, I = 6, hkl 0 0 5
- 2θ 30.1, I = 8, hkl 1 0 0
- 2θ 40.6, I = 100, hkl 1 0 5
- 2θ 43.1, I = 45, hkl 1 1 0
- 2θ 51.4, I = 4, hkl 1 1 5
- 2θ 54.8, I = 9, hkl 0 0 10
- 2θ 62.6, I = 15, hkl 2 0 0
- 2θ 72.1, I = 16, hkl 1 1 10
- 2θ 77.3, I = 29, hkl 2 1 5
- 2θ 87.9, I = 10, hkl 2 0 10

Atomic structure:
Lattice parameters (Å, degrees): 2.969 2.969 16.763 90.00 90.00 90.00
Space group P4/mmm (No. 123)
Inequivalent atoms, fractional coordinates:
Ta 0.000 0.000 0.000
Zn 0.500 0.500 0.112
Zn 0.500 0.500 0.305
Zn 0.500 0.500 0.500
Pd 0.000 0.000 0.209
Pd 0.000 0.000 0.402